Structure and computed X-ray diffraction stick pattern of BaSr6Rh2 (the PBE geometry in Alexandria; λ = 1.5418 Å (Cu Kα)).
Intensities are scaled so that the largest is 100.

Largest 6 diffraction maxima, sorted by position, 2θ = 10–80°:
2θ (°)	I_rel
13.26	48
20.03	39
25.82	41
26.69	36
32.25	100
44.98	36

Cell and atoms:
a = 8.956 Å, b = 8.956 Å, c = 8.956 Å
α = 53.49°, β = 53.49°, γ = 53.49°
Sites, in units of the cell vectors:
Ba: 0.000 0.000 0.000
Sr: 0.085 0.590 0.599
Sr: 0.418 0.898 0.425
Sr: 0.425 0.418 0.898
Sr: 0.590 0.599 0.085
Sr: 0.599 0.085 0.590
Sr: 0.898 0.425 0.418
Rh: 0.497 0.497 0.497
Rh: 0.672 0.672 0.672

---

Structure and computed X-ray diffraction stick pattern of CaAl12Fe5 (the PBE geometry in Alexandria; λ = 1.5418 Å (Cu Kα)).
Intensities are scaled so that the largest is 100.

Largest 6 diffraction maxima, sorted by position, 2θ = 10–80°:
2θ (°)	I_rel
21.86	86
38.71	82
42.55	68
43.11	100
44.10	95
44.57	98

Cell and atoms:
a = 7.170 Å, b = 7.170 Å, c = 7.170 Å
α = 117.98°, β = 110.90°, γ = 100.02°
Sites, in units of the cell vectors:
Ca: 0.000 0.000 0.000
Al: 0.130 0.827 0.303
Al: 0.231 0.323 0.555
Al: 0.231 0.677 0.908
Al: 0.265 0.073 0.808
Al: 0.265 0.457 0.192
Al: 0.477 0.173 0.303
Al: 0.523 0.827 0.697
Al: 0.735 0.543 0.808
Al: 0.735 0.927 0.192
Al: 0.769 0.323 0.092
Al: 0.769 0.677 0.445
Al: 0.870 0.173 0.697
Fe: 0.126 0.626 0.500
Fe: 0.500 0.167 0.667
Fe: 0.500 0.500 0.000
Fe: 0.500 0.833 0.333
Fe: 0.874 0.374 0.500

---

Structure and computed X-ray diffraction stick pattern of Ba3Ga2Ag3 (the PBE geometry in Alexandria; λ = 1.5418 Å (Cu Kα)).
Intensities are scaled so that the largest is 100.

Largest 6 diffraction maxima, sorted by position, 2θ = 10–80°:
2θ (°)	I_rel
29.20	94
29.32	100
33.08	28
34.26	38
36.01	57
36.35	43

Cell and atoms:
a = 6.479 Å, b = 6.479 Å, c = 16.248 Å
α = 90.00°, β = 90.00°, γ = 134.71°
Sites, in units of the cell vectors:
Ba: 0.096 0.904 0.602
Ba: 0.096 0.904 0.898
Ba: 0.394 0.606 0.750
Ba: 0.606 0.394 0.250
Ba: 0.904 0.096 0.102
Ba: 0.904 0.096 0.398
Ga: 0.200 0.800 0.095
Ga: 0.200 0.800 0.405
Ga: 0.800 0.200 0.595
Ga: 0.800 0.200 0.905
Ag: 0.299 0.701 0.250
Ag: 0.373 0.627 0.538
Ag: 0.373 0.627 0.962
Ag: 0.627 0.373 0.038
Ag: 0.627 0.373 0.462
Ag: 0.701 0.299 0.750

---

Structure and computed X-ray diffraction stick pattern of SrAl4Br (the PBE geometry in Alexandria; λ = 1.5418 Å (Cu Kα)).
Intensities are scaled so that the largest is 100.

Largest 6 diffraction maxima, sorted by position, 2θ = 10–80°:
2θ (°)	I_rel
18.62	24
30.63	74
36.08	100
54.45	28
58.05	33
63.77	23

Cell and atoms:
a = 5.838 Å, b = 5.838 Å, c = 5.838 Å
α = 60.00°, β = 60.00°, γ = 60.00°
Sites, in units of the cell vectors:
Sr: 0.000 0.000 0.000
Al: 0.122 0.626 0.626
Al: 0.626 0.122 0.626
Al: 0.626 0.626 0.122
Al: 0.626 0.626 0.626
Br: 0.250 0.250 0.250

---

Structure and computed X-ray diffraction stick pattern of AcTb6Th2 (the PBE geometry in Alexandria; λ = 1.5418 Å (Cu Kα)).
Intensities are scaled so that the largest is 100.

Largest 6 diffraction maxima, sorted by position, 2θ = 10–80°:
2θ (°)	I_rel
28.47	56
30.00	61
31.51	97
33.10	100
50.42	47
59.79	53

Cell and atoms:
a = 3.620 Å, b = 3.620 Å, c = 26.811 Å
α = 90.00°, β = 90.00°, γ = 120.00°
Sites, in units of the cell vectors:
Ac: 0.000 0.000 0.000
Tb: 0.000 0.000 0.223
Tb: 0.000 0.000 0.438
Tb: 0.000 0.000 0.562
Tb: 0.000 0.000 0.777
Tb: 0.333 0.667 0.117
Tb: 0.333 0.667 0.883
Th: 0.333 0.667 0.333
Th: 0.333 0.667 0.667